Entry 1:
The following is a simulated powder X-ray diffraction pattern of LaPrErTm2. It was derived from a DFT-relaxed cell (GGA-PBE, Alexandria), using Cu Kα, 1.54184 Å.
No peak broadening, texture or thermal motion is included.

Most intense lines, 15° ≤ 2θ ≤ 90°, by angle:
(0 1 0), 2θ 15.81, 5.604 Å, intensity 16
(0 1 2), 2θ 26.12, 3.412 Å, intensity 23
(1 1 1), 2θ 31.21, 2.866 Å, intensity 100
(0 2 0), 2θ 31.94, 2.802 Å, intensity 36
(1 0 2), 2θ 32.34, 2.768 Å, intensity 18
(0 1 3), 2θ 35.16, 2.552 Å, intensity 22
(1 1 2), 2θ 36.19, 2.482 Å, intensity 25
(1 2 3), 2θ 52.17, 1.753 Å, intensity 14
(1 3 1), 2θ 56.46, 1.630 Å, intensity 16
(1 1 5), 2θ 61.99, 1.497 Å, intensity 19

Structure:
Lattice parameters (Å, degrees): 3.617 5.604 8.601 90.00 90.00 90.00
Space group Pmmm (No. 47)
Unique sites:
La  0.000  0.000  0.000 (multiplicity 1)
Pr  0.500  0.000  0.500 (multiplicity 1)
Er  0.500  0.500  0.000 (multiplicity 1)
Tm  0.000  0.500  0.317 (multiplicity 2)

=====

Entry 2:
The following is a simulated powder X-ray diffraction pattern of Cd3PdRh2. It was derived from a DFT-relaxed cell (GGA-PBE, Alexandria), using Cu Kα, 1.54184 Å.
No peak broadening, texture or thermal motion is included.

Most intense lines, 15° ≤ 2θ ≤ 90°, by angle:
(1 3 1), 2θ 39.19, 2.299 Å, intensity 100
(2 0 0), 2θ 39.55, 2.278 Å, intensity 49
(0 0 2), 2θ 56.07, 1.640 Å, intensity 9
(2 6 0), 2θ 57.18, 1.611 Å, intensity 16
(2 0 2), 2θ 70.78, 1.331 Å, intensity 17
(3 3 1), 2θ 71.51, 1.319 Å, intensity 32
(2 6 2), 2θ 84.24, 1.149 Å, intensity 10
(4 0 0), 2θ 85.12, 1.140 Å, intensity 3
(0 12 0), 2θ 85.23, 1.139 Å, intensity 3

Structure:
Lattice parameters (Å, degrees): 4.559 13.664 3.281 90.00 90.00 90.00
Space group Cmmm (No. 65)
Unique sites:
Cd  0.000  0.000  0.000 (multiplicity 2)
Cd  0.000  0.332  0.000 (multiplicity 4)
Pd  0.000  0.500  0.500 (multiplicity 2)
Rh  0.000  0.166  0.500 (multiplicity 4)

=====

Entry 3:
The following is a simulated powder X-ray diffraction pattern of PmAlPtO4. It was derived from a DFT-relaxed cell (GGA-PBE, Alexandria), using Cu Kα, 1.54184 Å.
No peak broadening, texture or thermal motion is included.

Most intense lines, 15° ≤ 2θ ≤ 90°, by angle:
(1 1 1), 2θ 21.75, 4.086 Å, intensity 100
(2 0 0), 2θ 29.47, 3.031 Å, intensity 65
(1 1 2), 2θ 30.99, 2.885 Å, intensity 76
(0 2 2), 2θ 32.37, 2.765 Å, intensity 49
(1 3 0), 2θ 33.63, 2.665 Å, intensity 61
(1 3 1), 2θ 36.02, 2.493 Å, intensity 28
(1 1 3), 2θ 42.44, 2.130 Å, intensity 26
(2 2 2), 2θ 44.34, 2.043 Å, intensity 66
(0 0 4), 2θ 51.82, 1.764 Å, intensity 31
(1 5 2), 2θ 60.19, 1.538 Å, intensity 23

Structure:
Lattice parameters (Å, degrees): 6.062 8.901 7.059 90.00 90.00 90.00
Space group Cmcm (No. 63)
Unique sites:
Pm  0.000  0.000  0.000 (multiplicity 4)
Al  0.000  0.373  0.250 (multiplicity 4)
Pt  0.000  0.288  0.750 (multiplicity 4)
O  0.000  0.265  0.038 (multiplicity 8)
O  0.237  0.493  0.250 (multiplicity 8)

=====

Entry 4:
The following is a simulated powder X-ray diffraction pattern of La3Pm4Mg. It was derived from a DFT-relaxed cell (GGA-PBE, Alexandria), using Cu Kα, 1.54184 Å.
No peak broadening, texture or thermal motion is included.

Most intense lines, 15° ≤ 2θ ≤ 90°, by angle:
(1 1 2), 2θ 29.45, 3.033 Å, intensity 36
(0 4 0), 2θ 29.95, 2.984 Å, intensity 100
(0 2 4), 2θ 31.17, 2.870 Å, intensity 82
(1 0 3), 2θ 32.39, 2.764 Å, intensity 19
(1 2 3), 2θ 35.80, 2.508 Å, intensity 22
(1 3 2), 2θ 36.49, 2.462 Å, intensity 20
(1 4 3), 2θ 44.70, 2.028 Å, intensity 16
(1 4 5), 2θ 53.16, 1.723 Å, intensity 22
(0 6 4), 2θ 53.95, 1.699 Å, intensity 18
(2 2 4), 2θ 61.11, 1.516 Å, intensity 24

Structure:
Lattice parameters (Å, degrees): 3.572 11.932 13.092 90.00 90.00 90.00
Space group Immm (No. 71)
Unique sites:
La  0.000  0.000  0.000 (multiplicity 2)
La  0.000  0.500  0.235 (multiplicity 4)
Pm  0.000  0.248  0.367 (multiplicity 8)
Mg  0.000  0.000  0.500 (multiplicity 2)

=====

Entry 5:
The following is a simulated powder X-ray diffraction pattern of LiThSi2Pt. It was derived from a DFT-relaxed cell (GGA-PBE, Alexandria), using Cu Kα, 1.54184 Å.
No peak broadening, texture or thermal motion is included.

Most intense lines, 15° ≤ 2θ ≤ 90°, by angle:
(1 0 1), 2θ 23.19, 3.836 Å, intensity 100
(1 0 3), 2θ 33.89, 2.645 Å, intensity 59
(0 0 4), 2θ 34.75, 2.582 Å, intensity 18
(1 1 2), 2θ 35.30, 2.543 Å, intensity 95
(2 0 0), 2θ 43.82, 2.066 Å, intensity 33
(1 0 5), 2θ 49.33, 1.847 Å, intensity 23
(2 1 1), 2θ 50.15, 1.819 Å, intensity 27
(2 1 3), 2θ 56.52, 1.628 Å, intensity 28
(2 0 4), 2θ 57.10, 1.613 Å, intensity 18
(3 1 2), 2θ 74.98, 1.267 Å, intensity 22

Structure:
Lattice parameters (Å, degrees): 4.132 4.132 10.327 90.00 90.00 90.00
Space group I-4m2 (No. 119)
Unique sites:
Li  0.000  0.000  0.000 (multiplicity 2)
Th  0.000  0.500  0.750 (multiplicity 2)
Si  0.000  0.500  0.134 (multiplicity 4)
Pt  0.000  0.000  0.500 (multiplicity 2)

=====

Entry 6:
The following is a simulated powder X-ray diffraction pattern of ZrGa2Au2. It was derived from a DFT-relaxed cell (GGA-PBE, Alexandria), using Cu Kα, 1.54184 Å.
No peak broadening, texture or thermal motion is included.

Most intense lines, 15° ≤ 2θ ≤ 90°, by angle:
(0 0 2), 2θ 16.17, 5.480 Å, intensity 40
(0 0 4), 2θ 32.71, 2.738 Å, intensity 24
(1 1 2), 2θ 34.86, 2.573 Å, intensity 100
(2 0 0), 2θ 43.93, 2.061 Å, intensity 39
(1 1 4), 2θ 45.43, 1.996 Å, intensity 33
(2 0 4), 2θ 55.83, 1.647 Å, intensity 17
(1 1 6), 2θ 59.74, 1.548 Å, intensity 12
(2 2 0), 2θ 63.87, 1.457 Å, intensity 13
(3 1 2), 2θ 74.88, 1.268 Å, intensity 22
(3 1 4), 2θ 81.83, 1.177 Å, intensity 12

Structure:
Lattice parameters (Å, degrees): 4.122 4.122 10.961 90.00 90.00 90.00
Space group I4/mmm (No. 139)
Unique sites:
Zr  0.000  0.000  0.000 (multiplicity 2)
Ga  0.000  0.000  0.393 (multiplicity 4)
Au  0.000  0.500  0.250 (multiplicity 4)

=====

Entry 7:
The following is a simulated powder X-ray diffraction pattern of YMg6Tl4. It was derived from a DFT-relaxed cell (GGA-PBE, Alexandria), using Cu Kα, 1.54184 Å.
No peak broadening, texture or thermal motion is included.

Most intense lines, 15° ≤ 2θ ≤ 90°, by angle:
(1 0 1), 2θ 20.78, 4.274 Å, intensity 50
(0 2 2), 2θ 24.28, 3.666 Å, intensity 64
(1 2 1), 2θ 25.13, 3.544 Å, intensity 70
(1 1 2), 2θ 27.95, 3.192 Å, intensity 21
(0 4 0), 2θ 28.14, 3.171 Å, intensity 39
(1 0 3), 2θ 35.22, 2.548 Å, intensity 100
(2 0 0), 2θ 37.01, 2.429 Å, intensity 31
(2 2 2), 2θ 44.75, 2.025 Å, intensity 26
(1 4 3), 2θ 45.65, 1.987 Å, intensity 26
(2 4 0), 2θ 47.13, 1.928 Å, intensity 20

Structure:
Lattice parameters (Å, degrees): 4.858 12.685 8.986 90.00 90.00 90.00
Space group Imm2 (No. 44)
Unique sites:
Y  0.000  0.000  0.000 (multiplicity 2)
Mg  0.000  0.120  0.346 (multiplicity 4)
Mg  0.000  0.276  0.634 (multiplicity 4)
Mg  0.000  0.374  0.290 (multiplicity 4)
Tl  0.000  0.000  0.639 (multiplicity 2)
Tl  0.000  0.257  0.963 (multiplicity 4)
Tl  0.000  0.500  0.723 (multiplicity 2)

=====

Entry 8:
The following is a simulated powder X-ray diffraction pattern of La2Tm8Sc. It was derived from a DFT-relaxed cell (GGA-PBE, Alexandria), using Cu Kα, 1.54184 Å.
No peak broadening, texture or thermal motion is included.

Most intense lines, 15° ≤ 2θ ≤ 90°, by angle:
(5 1 -1), 2θ 31.13, 2.873 Å, intensity 100
(4 0 -3), 2θ 36.09, 2.489 Å, intensity 34
(0 2 0), 2θ 36.13, 2.486 Å, intensity 17
(6 2 1), 2θ 51.96, 1.760 Å, intensity 24
(4 2 -3), 2θ 52.02, 1.758 Å, intensity 12
(11 1 0), 2θ 61.77, 1.502 Å, intensity 14
(5 3 -1), 2θ 61.87, 1.500 Å, intensity 28
(10 2 -2), 2θ 64.92, 1.436 Å, intensity 12
(11 3 0), 2θ 84.92, 1.142 Å, intensity 11
(4 4 -3), 2θ 87.77, 1.112 Å, intensity 11

Structure:
Lattice parameters (Å, degrees): 17.957 4.972 7.864 90.00 105.17 90.00
Space group C2/m (No. 12)
Unique sites:
La  0.227  0.000  0.137 (multiplicity 4)
Tm  0.043  0.000  0.230 (multiplicity 4)
Tm  0.088  0.500  0.948 (multiplicity 4)
Tm  0.132  0.000  0.672 (multiplicity 4)
Tm  0.179  0.500  0.407 (multiplicity 4)
Sc  0.000  0.500  0.500 (multiplicity 2)

=====

Entry 9:
The following is a simulated powder X-ray diffraction pattern of Dy3Y2Er6Sc. It was derived from a DFT-relaxed cell (GGA-PBE, Alexandria), using Cu Kα, 1.54184 Å.
No peak broadening, texture or thermal motion is included.

Most intense lines, 15° ≤ 2θ ≤ 90°, by angle:
(1 3 1), 2θ 31.25, 2.862 Å, intensity 100
(2 0 2), 2θ 36.24, 2.479 Å, intensity 50
(1 3 5), 2θ 52.18, 1.753 Å, intensity 36
(4 0 0), 2θ 62.08, 1.495 Å, intensity 28
(0 6 4), 2θ 62.12, 1.494 Å, intensity 14
(2 6 2), 2θ 65.18, 1.431 Å, intensity 12
(4 0 4), 2θ 76.92, 1.239 Å, intensity 6
(4 6 0), 2θ 85.34, 1.137 Å, intensity 18
(5 3 1), 2θ 88.08, 1.109 Å, intensity 8
(3 3 -9), 2θ 88.16, 1.108 Å, intensity 8

Structure:
Lattice parameters (Å, degrees): 6.077 10.512 11.623 90.00 100.00 90.00
Space group C2/m (No. 12)
Unique sites:
Dy  0.000  0.000  0.000 (multiplicity 2)
Dy  0.000  0.334  0.000 (multiplicity 4)
Y  0.000  0.167  0.500 (multiplicity 4)
Er  0.248  0.335  0.748 (multiplicity 8)
Er  0.248  0.500  0.252 (multiplicity 4)
Sc  0.000  0.500  0.500 (multiplicity 2)

=====

Entry 10:
The following is a simulated powder X-ray diffraction pattern of NaAg2GeSe4. It was derived from a DFT-relaxed cell (GGA-PBE, Alexandria), using Cu Kα, 1.54184 Å.
No peak broadening, texture or thermal motion is included.

Most intense lines, 15° ≤ 2θ ≤ 90°, by angle:
(1 0 1), 2θ 16.73, 5.300 Å, intensity 42
(0 0 2), 2θ 22.03, 4.035 Å, intensity 17
(1 1 2), 2θ 28.42, 3.140 Å, intensity 100
(1 2 1), 2θ 30.26, 2.954 Å, intensity 21
(2 1 1), 2θ 30.46, 2.935 Å, intensity 16
(2 2 0), 2θ 35.92, 2.500 Å, intensity 57
(2 1 3), 2θ 44.28, 2.046 Å, intensity 24
(1 3 2), 2θ 46.24, 1.963 Å, intensity 23
(3 1 2), 2θ 46.62, 1.948 Å, intensity 23
(0 3 3), 2θ 51.36, 1.779 Å, intensity 24

Structure:
Lattice parameters (Å, degrees): 7.027 7.115 8.070 90.00 90.00 90.00
Space group I222 (No. 23)
Unique sites:
Na  0.000  0.000  0.000 (multiplicity 2)
Ag  0.000  0.500  0.305 (multiplicity 4)
Ge  0.000  0.000  0.500 (multiplicity 2)
Se  0.202  0.198  0.662 (multiplicity 8)

=====

Entry 11:
The following is a simulated powder X-ray diffraction pattern of CeZrBi2O. It was derived from a DFT-relaxed cell (GGA-PBE, Alexandria), using Cu Kα, 1.54184 Å.
No peak broadening, texture or thermal motion is included.

Most intense lines, 15° ≤ 2θ ≤ 90°, by angle:
(1 0 3), 2θ 28.50, 3.132 Å, intensity 68
(1 1 0), 2θ 31.44, 2.846 Å, intensity 100
(1 0 4), 2θ 32.69, 2.740 Å, intensity 87
(1 0 5), 2θ 37.45, 2.401 Å, intensity 28
(2 0 0), 2θ 45.05, 2.012 Å, intensity 42
(1 1 7), 2θ 53.63, 1.709 Å, intensity 24
(2 1 3), 2θ 54.18, 1.693 Å, intensity 24
(2 1 4), 2θ 56.76, 1.622 Å, intensity 36
(3 1 0), 2θ 74.57, 1.273 Å, intensity 18
(2 1 10), 2θ 84.14, 1.151 Å, intensity 19

Structure:
Lattice parameters (Å, degrees): 4.024 4.024 14.961 90.00 90.00 90.00
Space group P4/nmm (No. 129, origin choice 2)
Unique sites:
Ce  0.250  0.250  0.080 (multiplicity 2)
Zr  0.250  0.250  0.569 (multiplicity 2)
Bi  0.250  0.250  0.362 (multiplicity 2)
Bi  0.250  0.250  0.782 (multiplicity 2)
O  0.250  0.750  0.000 (multiplicity 2)

=====

Entry 12:
The following is a simulated powder X-ray diffraction pattern of Sr4Li2Au5. It was derived from a DFT-relaxed cell (GGA-PBE, Alexandria), using Cu Kα, 1.54184 Å.
No peak broadening, texture or thermal motion is included.

Most intense lines, 15° ≤ 2θ ≤ 90°, by angle:
(2 2 0), 2θ 20.34, 4.367 Å, intensity 44
(2 1 1), 2θ 23.70, 3.754 Å, intensity 54
(1 5 0), 2θ 24.72, 3.602 Å, intensity 100
(0 0 2), 2θ 29.08, 3.070 Å, intensity 66
(3 3 0), 2θ 30.71, 2.911 Å, intensity 42
(1 1 2), 2θ 30.87, 2.897 Å, intensity 40
(3 2 1), 2θ 32.43, 2.761 Å, intensity 84
(1 6 1), 2θ 32.65, 2.743 Å, intensity 73
(1 7 0), 2θ 33.62, 2.666 Å, intensity 50
(4 3 1), 2θ 42.16, 2.144 Å, intensity 57

Structure:
Lattice parameters (Å, degrees): 9.785 19.367 6.141 90.00 90.00 90.00
Space group Ibam (No. 72)
Unique sites:
Sr  0.122  0.152  0.000 (multiplicity 8)
Sr  0.221  0.439  0.000 (multiplicity 8)
Li  0.000  0.303  0.250 (multiplicity 8)
Au  0.000  0.000  0.250 (multiplicity 4)
Au  0.091  0.410  0.500 (multiplicity 8)
Au  0.176  0.218  0.500 (multiplicity 8)

=====

Entry 13:
The following is a simulated powder X-ray diffraction pattern of LiAgPtCl6. It was derived from a DFT-relaxed cell (GGA-PBE, Alexandria), using Cu Kα, 1.54184 Å.
No peak broadening, texture or thermal motion is included.

Most intense lines, 15° ≤ 2θ ≤ 90°, by angle:
(1 0 1), 2θ 17.83, 4.976 Å, intensity 100
(1 0 2), 2θ 22.14, 4.016 Å, intensity 91
(1 0 3), 2θ 27.94, 3.193 Å, intensity 26
(1 1 0), 2θ 28.16, 3.169 Å, intensity 23
(1 1 2), 2θ 32.07, 2.791 Å, intensity 30
(2 0 2), 2θ 36.10, 2.488 Å, intensity 25
(1 1 4), 2θ 41.88, 2.157 Å, intensity 63
(2 1 1), 2θ 44.33, 2.043 Å, intensity 15
(2 1 2), 2θ 46.40, 1.957 Å, intensity 26
(3 0 0), 2θ 49.84, 1.830 Å, intensity 27

Structure:
Lattice parameters (Å, degrees): 6.3385 6.3385 11.7787 90.00 90.00 120.00
Space group P-31c (No. 163)
Unique sites:
Li  0.3333  0.6667  0.2500 (multiplicity 2)
Ag  0.0000  0.0000  0.0000 (multiplicity 2)
Pt  0.3333  0.6667  0.7500 (multiplicity 2)
Cl  0.0234  0.3685  0.6344 (multiplicity 12)